# ErTm3Pu
Simulated powder diffractogram, λ = 1.5418 Å (Cu Kα). Input: a cell relaxed with GGA-PBE.
Lines closer than 0.1° are merged.

Peak list (10 most intense, 5 to 70 degrees two-theta, most intense first)
2θ 32.14, d 2.785, I = 100
2θ 32.39, d 2.764, I = 99
2θ 30.93, d 2.891, I = 95
2θ 37.65, d 2.389, I = 42
2θ 32.24, d 2.777, I = 35
2θ 33.75, d 2.656, I = 33
2θ 31.86, d 2.809, I = 31
2θ 61.42, d 1.510, I = 27
2θ 63.40, d 1.467, I = 24
2θ 40.65, d 2.219, I = 20

Atomic structure:
Unit cell a=6.373 b=5.950 c=16.737 alpha=90.00 beta=112.32 gamma=90.00
Fractional coordinates of all 20 atoms:
Er 0.213 0.072 0.090
Er 0.213 0.428 0.590
Er 0.787 0.572 0.410
Er 0.787 0.928 0.910
Tm 0.031 0.073 0.410
Tm 0.031 0.427 0.910
Tm 0.158 0.529 0.307
Tm 0.158 0.971 0.807
Tm 0.455 0.029 0.307
Tm 0.455 0.471 0.807
Tm 0.545 0.529 0.193
Tm 0.545 0.971 0.693
Tm 0.842 0.029 0.193
Tm 0.842 0.471 0.693
Tm 0.969 0.573 0.090
Tm 0.969 0.927 0.590
Pu 0.444 0.750 0.000
Pu 0.444 0.750 0.500
Pu 0.556 0.250 0.000
Pu 0.556 0.250 0.500

# Er4Tm2Pu
Simulated powder diffractogram, λ = 1.5418 Å (Cu Kα). Input: a cell relaxed with GGA-PBE.
Lines closer than 0.1° are merged.

Peak list (10 most intense, 5 to 70 degrees two-theta, most intense first)
2θ 32.46, d 2.758, I = 100
2θ 31.70, d 2.823, I = 55
2θ 35.37, d 2.538, I = 26
2θ 38.76, d 2.323, I = 24
2θ 40.66, d 2.219, I = 22
2θ 16.07, d 5.517, I = 21
2θ 53.47, d 1.714, I = 18
2θ 58.63, d 1.575, I = 15
2θ 61.66, d 1.504, I = 13
2θ 29.70, d 3.008, I = 13

Atomic structure:
Unit cell a=6.882 b=6.882 c=6.882 alpha=122.96 beta=122.96 gamma=84.95
Fractional coordinates of all 7 atoms:
Er 0.084 0.084 0.631
Er 0.454 0.454 0.369
Er 0.546 0.916 0.000
Er 0.916 0.546 0.000
Tm 0.000 0.500 0.500
Tm 0.500 0.000 0.500
Pu 0.000 0.000 0.000

# YEr6Pu
Simulated powder diffractogram, λ = 1.5418 Å (Cu Kα). Input: a cell relaxed with GGA-PBE.
Lines closer than 0.1° are merged.

Peak list (10 most intense, 5 to 70 degrees two-theta, most intense first)
2θ 33.25, d 2.695, I = 100
2θ 31.91, d 2.805, I = 25
2θ 29.07, d 3.072, I = 24
2θ 61.90, d 1.499, I = 22
2θ 57.72, d 1.597, I = 21
2θ 51.52, d 1.774, I = 19
2θ 43.70, d 2.071, I = 16
2θ 62.71, d 1.482, I = 16
2θ 69.81, d 1.347, I = 4
2θ 60.25, d 1.536, I = 3

Atomic structure:
Unit cell a=5.609 b=7.092 c=7.092 alpha=60.07 beta=90.00 gamma=90.00
Fractional coordinates of all 8 atoms:
Y 0.000 0.000 0.000
Er 0.000 0.000 0.493
Er 0.000 0.493 0.000
Er 0.000 0.498 0.498
Er 0.500 0.164 0.664
Er 0.500 0.664 0.164
Er 0.500 0.665 0.665
Pu 0.500 0.165 0.165

# Y12Er5Pu
Simulated powder diffractogram, λ = 1.5418 Å (Cu Kα). Input: a cell relaxed with GGA-PBE.
Lines closer than 0.1° are merged.

Peak list (10 most intense, 5 to 70 degrees two-theta, most intense first)
2θ 32.07, d 2.791, I = 100
2θ 33.78, d 2.653, I = 85
2θ 29.01, d 3.078, I = 55
2θ 31.42, d 2.848, I = 45
2θ 61.15, d 1.516, I = 39
2θ 51.01, d 1.790, I = 34
2θ 10.36, d 8.543, I = 32
2θ 40.49, d 2.228, I = 24
2θ 55.21, d 1.664, I = 22
2θ 58.56, d 1.576, I = 17

Atomic structure:
Unit cell a=6.203 b=6.203 c=17.209 alpha=93.42 beta=93.42 gamma=120.05
Fractional coordinates of all 18 atoms:
Y 0.056 0.726 0.665
Y 0.111 0.111 0.834
Y 0.222 0.556 0.167
Y 0.274 0.944 0.335
Y 0.385 0.385 0.665
Y 0.444 0.778 0.833
Y 0.556 0.222 0.167
Y 0.615 0.615 0.335
Y 0.726 0.056 0.665
Y 0.778 0.444 0.833
Y 0.889 0.889 0.166
Y 0.944 0.274 0.335
Er 0.167 0.833 0.000
Er 0.333 0.667 0.500
Er 0.500 0.500 0.000
Er 0.667 0.333 0.500
Er 0.833 0.167 0.000
Pu 0.000 0.000 0.500

# Y7Er2Pu
Simulated powder diffractogram, λ = 1.5418 Å (Cu Kα). Input: a cell relaxed with GGA-PBE.
Lines closer than 0.1° are merged.

Peak list (10 most intense, 5 to 70 degrees two-theta, most intense first)
2θ 32.57, d 2.749, I = 100
2θ 31.19, d 2.867, I = 99
2θ 33.59, d 2.668, I = 94
2θ 61.23, d 1.514, I = 60
2θ 32.40, d 2.763, I = 50
2θ 33.40, d 2.682, I = 49
2θ 51.25, d 1.782, I = 49
2θ 29.14, d 3.065, I = 35
2θ 30.24, d 2.956, I = 34
2θ 55.68, d 1.651, I = 30

Atomic structure:
Unit cell a=6.188 b=3.542 c=14.483 alpha=90.00 beta=98.15 gamma=90.00
Fractional coordinates of all 10 atoms:
Y 0.000 0.000 0.000
Y 0.104 0.500 0.801
Y 0.134 0.000 0.400
Y 0.399 0.000 0.197
Y 0.601 0.000 0.803
Y 0.866 0.000 0.600
Y 0.896 0.500 0.199
Er 0.368 0.500 0.601
Er 0.632 0.500 0.399
Pu 0.500 0.500 0.000

# Y3Er6Pu
Simulated powder diffractogram, λ = 1.5418 Å (Cu Kα). Input: a cell relaxed with GGA-PBE.
Lines closer than 0.1° are merged.

Peak list (10 most intense, 5 to 70 degrees two-theta, most intense first)
2θ 31.43, d 2.846, I = 100
2θ 29.85, d 2.993, I = 48
2θ 30.66, d 2.916, I = 44
2θ 29.60, d 3.018, I = 39
2θ 33.18, d 2.700, I = 28
2θ 33.29, d 2.691, I = 26
2θ 42.32, d 2.136, I = 20
2θ 13.09, d 6.762, I = 19
2θ 43.28, d 2.091, I = 17
2θ 50.21, d 1.817, I = 17

Atomic structure:
Unit cell a=6.793 b=6.793 c=6.677 alpha=90.13 beta=90.13 gamma=95.44
Fractional coordinates of all 10 atoms:
Y 0.000 0.000 0.000
Y 0.094 0.305 0.663
Y 0.695 0.906 0.337
Er 0.164 0.836 0.500
Er 0.326 0.674 0.000
Er 0.380 0.224 0.202
Er 0.564 0.114 0.759
Er 0.776 0.620 0.798
Er 0.886 0.436 0.241
Pu 0.470 0.530 0.500

# Y4Er7Pu
Simulated powder diffractogram, λ = 1.5418 Å (Cu Kα). Input: a cell relaxed with GGA-PBE.
Lines closer than 0.1° are merged.

Peak list (10 most intense, 5 to 70 degrees two-theta, most intense first)
2θ 30.23, d 2.956, I = 100
2θ 31.46, d 2.844, I = 99
2θ 7.16, d 12.344, I = 87
2θ 29.89, d 2.989, I = 69
2θ 32.38, d 2.765, I = 68
2θ 37.12, d 2.422, I = 54
2θ 30.88, d 2.896, I = 37
2θ 35.37, d 2.538, I = 33
2θ 35.94, d 2.498, I = 30
2θ 40.31, d 2.238, I = 28

Atomic structure:
Unit cell a=5.916 b=5.916 c=12.929 alpha=104.86 beta=104.86 gamma=60.79
Fractional coordinates of all 12 atoms:
Y 0.052 0.052 0.137
Y 0.205 0.236 0.709
Y 0.764 0.795 0.291
Y 0.948 0.948 0.863
Er 0.188 0.227 0.407
Er 0.240 0.760 0.500
Er 0.337 0.320 0.988
Er 0.436 0.445 0.259
Er 0.555 0.564 0.741
Er 0.680 0.663 0.012
Er 0.773 0.812 0.593
Pu 0.726 0.274 0.500

# Y4Er8Pu
Simulated powder diffractogram, λ = 1.5418 Å (Cu Kα). Input: a cell relaxed with GGA-PBE.
Lines closer than 0.1° are merged.

Peak list (10 most intense, 5 to 70 degrees two-theta, most intense first)
2θ 32.93, d 2.720, I = 100
2θ 58.76, d 1.571, I = 28
2θ 47.26, d 1.923, I = 18
2θ 23.12, d 3.846, I = 17
2θ 58.94, d 1.567, I = 9
2θ 16.30, d 5.440, I = 8
2θ 25.90, d 3.440, I = 7
2θ 11.50, d 7.693, I = 6
2θ 68.97, d 1.362, I = 6
2θ 69.17, d 1.358, I = 6

Atomic structure:
Unit cell a=7.693 b=7.693 c=7.693 alpha=90.14 beta=90.14 gamma=90.14
Fractional coordinates of all 13 atoms:
Y 0.000 0.000 0.000
Y 0.000 0.500 0.500
Y 0.500 0.000 0.500
Y 0.500 0.500 0.000
Er 0.245 0.245 0.245
Er 0.245 0.245 0.754
Er 0.245 0.754 0.245
Er 0.246 0.755 0.755
Er 0.754 0.245 0.245
Er 0.755 0.246 0.755
Er 0.755 0.755 0.246
Er 0.755 0.755 0.755
Pu 0.500 0.500 0.500

# ErPuZn4
Simulated powder diffractogram, λ = 1.5418 Å (Cu Kα). Input: a cell relaxed with GGA-PBE.
Lines closer than 0.1° are merged.

Peak list (10 most intense, 5 to 70 degrees two-theta, most intense first)
2θ 35.77, d 2.510, I = 100
2θ 39.23, d 2.296, I = 62
2θ 22.35, d 3.977, I = 36
2θ 54.13, d 1.694, I = 31
2θ 68.87, d 1.363, I = 30
2θ 56.91, d 1.618, I = 7
2θ 45.62, d 1.989, I = 6
2θ 61.71, d 1.503, I = 5
2θ 61.91, d 1.499, I = 5
2θ 26.30, d 3.389, I = 3

Atomic structure:
Unit cell a=4.593 b=4.593 c=6.472 alpha=90.00 beta=90.00 gamma=120.00
Fractional coordinates of all 6 atoms:
Er 0.000 0.000 0.000
Pu 0.000 0.000 0.500
Zn 0.333 0.667 0.250
Zn 0.333 0.667 0.750
Zn 0.667 0.333 0.250
Zn 0.667 0.333 0.750

# Rb3Er
Simulated powder diffractogram, λ = 1.5418 Å (Cu Kα). Input: a cell relaxed with GGA-PBE.
Lines closer than 0.1° are merged.

Peak list (10 most intense, 5 to 70 degrees two-theta, most intense first)
2θ 24.81, d 3.589, I = 100
2θ 43.69, d 2.072, I = 43
2θ 69.27, d 1.356, I = 22
2θ 35.37, d 2.538, I = 20
2θ 57.42, d 1.605, I = 19
2θ 50.89, d 1.794, I = 14
2θ 15.12, d 5.860, I = 7
2θ 63.50, d 1.465, I = 5
2θ 29.18, d 3.060, I = 4
2θ 17.47, d 5.075, I = 4

Atomic structure:
Unit cell a=7.177 b=7.177 c=7.177 alpha=60.00 beta=60.00 gamma=60.00
Fractional coordinates of all 4 atoms:
Rb 0.000 0.000 0.000
Rb 0.250 0.250 0.250
Rb 0.750 0.750 0.750
Er 0.500 0.500 0.500

# Rb3Er7S12
Simulated powder diffractogram, λ = 1.5418 Å (Cu Kα). Input: a cell relaxed with GGA-PBE.
Lines closer than 0.1° are merged.

Peak list (10 most intense, 5 to 70 degrees two-theta, most intense first)
2θ 31.84, d 2.811, I = 100
2θ 10.17, d 8.699, I = 81
2θ 25.92, d 3.438, I = 57
2θ 20.42, d 4.350, I = 36
2θ 45.66, d 1.987, I = 32
2θ 26.30, d 3.389, I = 28
2θ 27.10, d 3.291, I = 21
2θ 45.43, d 1.996, I = 21
2θ 8.12, d 10.886, I = 21
2θ 32.45, d 2.759, I = 21

Atomic structure:
Unit cell a=3.973 b=12.085 c=25.064 alpha=90.00 beta=90.00 gamma=90.00
Fractional coordinates of all 44 atoms:
Rb 0.000 0.034 0.000
Rb 0.000 0.298 0.349
Rb 0.000 0.460 0.734
Rb 0.500 0.540 0.234
Rb 0.500 0.702 0.849
Rb 0.500 0.966 0.500
Er 0.000 0.158 0.661
Er 0.000 0.256 0.870
Er 0.000 0.341 0.082
Er 0.000 0.528 0.456
Er 0.000 0.676 0.054
Er 0.000 0.828 0.688
Er 0.000 0.967 0.290
Er 0.500 0.033 0.790
Er 0.500 0.172 0.188
Er 0.500 0.324 0.554
Er 0.500 0.472 0.956
Er 0.500 0.659 0.582
Er 0.500 0.744 0.370
Er 0.500 0.842 0.161
S 0.000 0.004 0.177
S 0.000 0.176 0.553
S 0.000 0.181 0.769
S 0.000 0.322 0.192
S 0.000 0.322 0.974
S 0.000 0.495 0.567
S 0.000 0.589 0.353
S 0.000 0.624 0.950
S 0.000 0.696 0.160
S 0.000 0.805 0.582
S 0.000 0.880 0.793
S 0.000 0.893 0.389
S 0.500 0.107 0.889
S 0.500 0.120 0.293
S 0.500 0.195 0.082
S 0.500 0.304 0.660
S 0.500 0.376 0.450
S 0.500 0.411 0.853
S 0.500 0.505 0.067
S 0.500 0.678 0.474
S 0.500 0.678 0.692
S 0.500 0.819 0.269
S 0.500 0.824 0.053
S 0.500 0.996 0.677

# Rb2Er2SnS6
Simulated powder diffractogram, λ = 1.5418 Å (Cu Kα). Input: a cell relaxed with GGA-PBE.
Lines closer than 0.1° are merged.

Peak list (10 most intense, 5 to 70 degrees two-theta, most intense first)
2θ 11.17, d 7.918, I = 100
2θ 30.36, d 2.944, I = 96
2θ 27.29, d 3.268, I = 53
2θ 30.17, d 2.962, I = 47
2θ 22.46, d 3.959, I = 36
2θ 40.29, d 2.238, I = 35
2θ 46.21, d 1.965, I = 31
2θ 56.30, d 1.634, I = 24
2θ 40.41, d 2.232, I = 19
2θ 52.08, d 1.756, I = 16

Atomic structure:
Unit cell a=6.791 b=6.791 c=8.250 alpha=98.09 beta=98.09 gamma=119.79
Fractional coordinates of all 11 atoms:
Rb 0.169 0.831 0.000
Rb 0.831 0.169 0.000
Er 0.333 0.667 0.500
Er 0.667 0.333 0.500
Sn 0.000 0.000 0.500
S 0.064 0.385 0.686
S 0.254 0.254 0.317
S 0.385 0.064 0.686
S 0.615 0.936 0.314
S 0.746 0.746 0.683
S 0.936 0.615 0.314